(1)
Structure and calculated X-ray powder pattern of Na3PdF6 (a DFT-relaxed cell (GGA-PBE, the Materials Project); Cu Kα X-rays).

Atomic structure:
```
data_Na3PdF6
_cell_length_a 8.4380
_cell_length_b 8.4380
_cell_length_c 8.4380
_cell_angle_alpha 90.00
_cell_angle_beta 90.00
_cell_angle_gamma 90.00
_space_group_name_H-M_alt 'F m -3 m'
_space_group_IT_number 225
_space_group_name_Hall '-F 4 2 3'
loop_
_atom_site_label
_atom_site_type_symbol
_atom_site_fract_x
_atom_site_fract_y
_atom_site_fract_z
Na1 Na 0.0000 0.0000 0.0000
Na2 Na 0.2500 0.2500 0.2500
Pd1 Pd 0.0000 0.0000 0.5000
F1 F 0.0000 0.0000 0.2585
```

Largest 10 diffraction maxima, in order of falling intensity, 2θ from 10° to 90°:
2θ = 29.95°, 2.983 Å, I = 100, (2 2 0)
2θ = 21.06°, 4.219 Å, I = 96, (2 0 0)
2θ = 18.21°, 4.872 Å, I = 93, (1 1 1)
2θ = 42.87°, 2.110 Å, I = 79, (4 0 0)
2θ = 62.24°, 1.492 Å, I = 44, (4 4 0)
2θ = 35.28°, 2.544 Å, I = 42, (3 1 1)
2θ = 53.18°, 1.722 Å, I = 40, (4 2 2)
2θ = 48.23°, 1.887 Å, I = 37, (4 2 0)
2θ = 86.27°, 1.128 Å, I = 20, (6 4 2)
2θ = 56.68°, 1.624 Å, I = 18, (5 1 1)

***

(2)
Structure and calculated X-ray powder pattern of Pm3Eu (a DFT-relaxed cell (GGA-PBE, the Materials Project); Cu Kα X-rays).

Atomic structure:
```
data_Pm3Eu
_cell_length_a 7.4184
_cell_length_b 7.4184
_cell_length_c 5.9889
_cell_angle_alpha 90.00
_cell_angle_beta 90.00
_cell_angle_gamma 120.00
_space_group_name_H-M_alt 'P 63/m m c'
_space_group_IT_number 194
_space_group_name_Hall '-P 6c 2c'
loop_
_atom_site_label
_atom_site_type_symbol
_atom_site_fract_x
_atom_site_fract_y
_atom_site_fract_z
Pm1 Pm 0.1634 0.3268 0.2500
Eu1 Eu 0.3333 0.6667 0.7500
```

Largest 10 diffraction maxima, in order of falling intensity, 2θ from 10° to 90°:
2θ = 31.61°, 2.831 Å, I = 100, (2 0 1)
2θ = 29.84°, 2.994 Å, I = 26, (0 0 2)
2θ = 27.77°, 3.212 Å, I = 23, (2 0 0)
2θ = 58.54°, 1.577 Å, I = 23, (2 2 2)
2θ = 54.09°, 1.696 Å, I = 22, (2 0 3)
2θ = 49.12°, 1.855 Å, I = 19, (2 2 0)
2θ = 59.60°, 1.551 Å, I = 16, (4 0 1)
2θ = 41.21°, 2.190 Å, I = 16, (2 0 2)
2θ = 80.76°, 1.190 Å, I = 14, (4 2 1)
2θ = 82.87°, 1.165 Å, I = 9, (2 2 4)

***

(3)
Structure and calculated X-ray powder pattern of Bi (a DFT-relaxed cell (GGA-PBE, the Materials Project); Cu Kα X-rays).

Atomic structure:
```
data_Bi
_cell_length_a 6.4666
_cell_length_b 3.4646
_cell_length_c 3.1746
_cell_angle_alpha 90.00
_cell_angle_beta 90.00
_cell_angle_gamma 90.00
_space_group_name_H-M_alt 'P m m a'
_space_group_IT_number 51
loop_
_space_group_symop_operation_xyz
'x,y,z'
'-x,-y,-z'
'-x+1/2,-y,z'
'x+1/2,y,-z'
'x+1/2,-y,-z'
'-x+1/2,y,z'
'-x,y,-z'
'x,-y,z'
loop_
_atom_site_label
_atom_site_type_symbol
_atom_site_fract_x
_atom_site_fract_y
_atom_site_fract_z
Bi1 Bi 0.2500 0.0000 0.1028
```

Largest 10 diffraction maxima, in order of falling intensity, 2θ from 10° to 90°:
2θ = 25.71°, 3.465 Å, I = 100, (0 1 0)
2θ = 27.59°, 3.233 Å, I = 84, (2 0 0)
2θ = 38.07°, 2.364 Å, I = 74, (2 1 0)
2θ = 28.11°, 3.175 Å, I = 51, (0 0 1)
2θ = 47.98°, 1.896 Å, I = 49, (2 1 1)
2θ = 38.46°, 2.341 Å, I = 46, (0 1 1)
2θ = 31.39°, 2.850 Å, I = 44, (1 0 1)
2θ = 41.01°, 2.201 Å, I = 44, (1 1 1)
2θ = 39.79°, 2.265 Å, I = 42, (2 0 1)
2θ = 66.37°, 1.408 Å, I = 28, (1 1 2)

***

(4)
Structure and calculated X-ray powder pattern of SrRuO3 (a DFT-relaxed cell (GGA-PBE, the Materials Project); Cu Kα X-rays).

Atomic structure:
```
data_SrRuO3
_cell_length_a 3.2634
_cell_length_b 10.2129
_cell_length_c 7.4739
_cell_angle_alpha 90.00
_cell_angle_beta 90.00
_cell_angle_gamma 90.00
_space_group_name_H-M_alt 'C m c m'
_space_group_IT_number 63
_space_group_name_Hall '-C 2c 2'
loop_
_atom_site_label
_atom_site_type_symbol
_atom_site_fract_x
_atom_site_fract_y
_atom_site_fract_z
Sr1 Sr 0.0000 0.2498 0.2500
Ru1 Ru 0.0000 0.0000 0.0000
O1 O 0.0000 0.0541 0.7500
O2 O 0.0000 0.3777 0.5453
```

Largest 10 diffraction maxima, in order of falling intensity, 2θ from 10° to 90°:
2θ = 29.62°, 3.016 Å, I = 100, (0 2 2)
2θ = 40.13°, 2.247 Å, I = 32, (1 3 1)
2θ = 31.16°, 2.870 Å, I = 31, (1 1 1)
2θ = 28.72°, 3.109 Å, I = 30, (1 1 0)
2θ = 38.20°, 2.356 Å, I = 28, (1 3 0)
2θ = 35.15°, 2.553 Å, I = 26, (0 4 0)
2θ = 45.52°, 1.993 Å, I = 24, (1 3 2)
2θ = 64.99°, 1.435 Å, I = 21, (2 2 2)
2θ = 48.74°, 1.868 Å, I = 18, (0 0 4)
2θ = 46.73°, 1.944 Å, I = 17, (1 1 3)

***

(5)
Structure and calculated X-ray powder pattern of HfCr2 (a DFT-relaxed cell (GGA-PBE, the Materials Project); Cu Kα X-rays).

Atomic structure:
Cell lengths 7.0947, 7.0947, 7.0947 Å; angles 90.00, 90.00, 90.00 degrees
Space group Fd-3m (No. 227, origin choice 2)
Asymmetric unit:
Hf (0.1250, 0.1250, 0.1250)
Cr (0.0000, 0.0000, 0.5000)

Largest 10 diffraction maxima, in order of falling intensity, 2θ from 10° to 90°:
2θ = 42.25°, 2.139 Å, I = 100, (3 1 1)
2θ = 35.80°, 2.508 Å, I = 78, (2 2 0)
2θ = 68.75°, 1.365 Å, I = 30, (5 1 1)
2θ = 64.33°, 1.448 Å, I = 29, (4 2 2)
2θ = 21.70°, 4.096 Å, I = 28, (1 1 1)
2θ = 75.86°, 1.254 Å, I = 21, (4 4 0)
2θ = 86.82°, 1.122 Å, I = 13, (6 2 0)
2θ = 44.22°, 2.048 Å, I = 10, (2 2 2)
2θ = 56.54°, 1.628 Å, I = 8, (3 3 1)
2θ = 80.01°, 1.199 Å, I = 6, (5 3 1)

***

(6)
Structure and calculated X-ray powder pattern of AlRh3 (a DFT-relaxed cell (GGA-PBE, the Materials Project); Cu Kα X-rays).

Atomic structure:
```
data_AlRh3
_cell_length_a 5.4651
_cell_length_b 5.4651
_cell_length_c 4.3760
_cell_angle_alpha 90.00
_cell_angle_beta 90.00
_cell_angle_gamma 120.00
_space_group_name_H-M_alt 'P 63/m m c'
_space_group_IT_number 194
_space_group_name_Hall '-P 6c 2c'
loop_
_atom_site_label
_atom_site_type_symbol
_atom_site_fract_x
_atom_site_fract_y
_atom_site_fract_z
Al1 Al 0.3333 0.6667 0.2500
Rh1 Rh 0.1677 0.3354 0.7500
```

Largest 10 diffraction maxima, in order of falling intensity, 2θ from 10° to 90°:
2θ = 43.47°, 2.082 Å, I = 100, (2 0 1)
2θ = 41.26°, 2.188 Å, I = 26, (0 0 2)
2θ = 38.02°, 2.366 Å, I = 24, (2 0 0)
2θ = 83.40°, 1.159 Å, I = 19, (2 2 2)
2θ = 27.77°, 3.213 Å, I = 19, (1 0 1)
2θ = 76.76°, 1.242 Å, I = 18, (2 0 3)
2θ = 68.70°, 1.366 Å, I = 17, (2 2 0)
2θ = 57.35°, 1.607 Å, I = 14, (2 0 2)
2θ = 84.90°, 1.142 Å, I = 14, (4 0 1)
2θ = 32.77°, 2.733 Å, I = 8, (1 1 0)

***

(7)
Structure and calculated X-ray powder pattern of SrScBe (a DFT-relaxed cell (GGA-PBE, the Materials Project); Cu Kα X-rays).

Atomic structure:
```
data_SrScBe
_cell_length_a 6.9484
_cell_length_b 6.9484
_cell_length_c 6.9484
_cell_angle_alpha 90.00
_cell_angle_beta 90.00
_cell_angle_gamma 90.00
_space_group_name_H-M_alt 'F -4 3 m'
_space_group_IT_number 216
_space_group_name_Hall 'F -4 2 3'
loop_
_atom_site_label
_atom_site_type_symbol
_atom_site_fract_x
_atom_site_fract_y
_atom_site_fract_z
Sr1 Sr 0.0000 0.0000 0.0000
Sc1 Sc 0.2500 0.2500 0.7500
Be1 Be 0.2500 0.2500 0.2500
```

Largest 10 diffraction maxima, in order of falling intensity, 2θ from 10° to 90°:
2θ = 22.16°, 4.012 Å, I = 100, (1 1 1)
2θ = 36.58°, 2.457 Å, I = 85, (2 2 0)
2θ = 43.18°, 2.095 Å, I = 51, (3 1 1)
2θ = 65.85°, 1.418 Å, I = 28, (4 2 2)
2θ = 57.84°, 1.594 Å, I = 21, (3 3 1)
2θ = 70.41°, 1.337 Å, I = 15, (5 1 1)
2θ = 82.05°, 1.174 Å, I = 15, (5 3 1)
2θ = 52.69°, 1.737 Å, I = 14, (4 0 0)
2θ = 89.13°, 1.099 Å, I = 13, (6 2 0)
2θ = 77.75°, 1.228 Å, I = 9, (4 4 0)